The following is a computed XRD peak list of Ac5La8Sm. It was derived from a cell relaxed with GGA-PBE, using a wavelength of 1.5418 Å.
Intensities are scaled so that the largest is 100.

Largest 10 diffraction maxima, by angle, 2θ = 10–80°:
2θ/deg  I/Imax
28.60  100
28.65  33
33.05  23
33.21  45
47.54  25
47.66  25
56.32  15
56.46  15
56.56  25
59.21  13

Crystal structure
```
data_Ac5La8Sm
_space_group_name_H-M_alt 'P 1'
_space_group_IT_number 1
_cell_length_a 6.6213
_cell_length_b 10.0908
_cell_length_c 10.1031
_cell_angle_alpha 115.34
_cell_angle_beta 96.47
_cell_angle_gamma 108.80
loop_
_space_group_symop_operation_xyz
'x,y,z'
loop_
_atom_site_label
_atom_site_type_symbol
_atom_site_fract_x
_atom_site_fract_y
_atom_site_fract_z
Ac1 Ac 0.0000 0.0000 0.0000
Ac2 Ac 0.0087 0.5133 0.5113
Ac3 Ac 0.2894 0.7979 0.3627
Ac4 Ac 0.4335 0.4337 0.2875
Ac5 Ac 0.7235 0.2251 0.6520
La1 La 0.1430 0.1474 0.4341
La2 La 0.1565 0.6523 0.9374
La3 La 0.2893 0.2902 0.8590
La4 La 0.4350 0.9401 0.7938
La5 La 0.5708 0.5778 0.7227
La6 La 0.5815 0.0786 0.2164
La7 La 0.7146 0.7179 0.1439
La8 La 0.8608 0.3661 0.0743
Sm1 Sm 0.8599 0.8651 0.5762
```